No. 1
Simulated X-ray diffraction stick pattern
Compound: KNaNb4O12
Radiation: Cu Kα (λ = 1.5418 Å)
Structure: a structure optimized by DFT (PBE)
No peak broadening, texture or thermal motion is included.

Peak list (6 most intense, 2θ from 5° to 70°, by angle)
2θ = 22.2°, d 4.005, rel. 100; 2θ = 31.6°, d 2.832, rel. 77; 2θ = 45.3°, d 2.003, rel. 38; 2θ = 51.0°, d 1.791, rel. 38; 2θ = 56.3°, d 1.635, rel. 30; 2θ = 66.0°, d 1.416, rel. 21

Structure:
Lattice parameters (Å, degrees): 5.6635 5.6635 8.0134 90.00 90.00 90.00
Atoms (fractional coordinates):
K (0.0000, 0.0000, 0.0000)
Na (0.5000, 0.5000, 0.5000)
Nb (0.0000, 0.5000, 0.2511)
Nb (0.0000, 0.5000, 0.7489)
Nb (0.5000, 0.0000, 0.2511)
Nb (0.5000, 0.0000, 0.7489)
O (0.0000, 0.5000, 0.0000)
O (0.0000, 0.5000, 0.5000)
O (0.2512, 0.2512, 0.2513)
O (0.2512, 0.2512, 0.7487)
O (0.2512, 0.7488, 0.2513)
O (0.2512, 0.7488, 0.7487)
O (0.5000, 0.0000, 0.0000)
O (0.5000, 0.0000, 0.5000)
O (0.7488, 0.2512, 0.2513)
O (0.7488, 0.2512, 0.7487)
O (0.7488, 0.7488, 0.2513)
O (0.7488, 0.7488, 0.7487)

***

No. 2
Simulated X-ray diffraction stick pattern
Compound: K2NaNb3O9
Radiation: Cu Kα (λ = 1.5418 Å)
Structure: a structure optimized by DFT (PBE)
No peak broadening, texture or thermal motion is included.

Peak list (6 most intense, 2θ from 5° to 70°, by angle)
2θ = 21.4°, d 4.143, rel. 39; 2θ = 21.9°, d 4.057, rel. 37; 2θ = 22.2°, d 4.009, rel. 36; 2θ = 30.7°, d 2.910, rel. 35; 2θ = 31.0°, d 2.883, rel. 100; 2θ = 31.4°, d 2.851, rel. 64

Structure:
Lattice parameters (Å, degrees): 8.1136 4.0088 13.0432 90.00 107.67 90.00
Atoms (fractional coordinates):
K (0.0000, 0.0000, 0.0000)
K (0.1652, 0.0000, 0.3403)
K (0.4990, 0.0000, 0.0064)
K (0.8315, 0.0000, 0.6732)
Na (0.3196, 0.0000, 0.6546)
Na (0.6529, 0.0000, 0.3218)
Nb (0.1609, 0.5000, 0.8285)
Nb (0.3251, 0.5000, 0.1672)
Nb (0.4934, 0.5000, 0.4972)
Nb (0.6525, 0.5000, 0.8309)
Nb (0.8251, 0.5000, 0.1651)
Nb (0.9881, 0.5000, 0.4992)
O (0.0190, 0.0000, 0.5153)
O (0.1011, 0.5000, 0.1880)
O (0.1195, 0.5000, 0.6787)
O (0.1826, 0.0000, 0.8435)
O (0.2515, 0.5000, 0.0153)
O (0.2599, 0.5000, 0.5015)
O (0.3530, 0.0000, 0.1833)
O (0.4341, 0.5000, 0.8557)
O (0.4523, 0.5000, 0.3471)
O (0.5135, 0.0000, 0.5129)
O (0.5738, 0.5000, 0.6795)
O (0.5935, 0.5000, 0.1720)
O (0.6788, 0.0000, 0.8450)
O (0.7692, 0.5000, 0.5242)
O (0.7738, 0.5000, 0.0143)
O (0.8461, 0.0000, 0.1815)
O (0.9088, 0.5000, 0.3478)
O (0.9268, 0.5000, 0.8337)

***

No. 3
Simulated X-ray diffraction stick pattern
Compound: KNaNb2O6
Radiation: Cu Kα (λ = 1.5418 Å)
Structure: a structure optimized by DFT (PBE)
No peak broadening, texture or thermal motion is included.

Peak list (6 most intense, 2θ from 5° to 70°, by angle)
2θ = 21.8°, d 4.083, rel. 65; 2θ = 22.2°, d 4.003, rel. 31; 2θ = 30.9°, d 2.893, rel. 26; 2θ = 31.0°, d 2.882, rel. 25; 2θ = 31.3°, d 2.858, rel. 100; 2θ = 44.4°, d 2.042, rel. 43

Structure:
Lattice parameters (Å, degrees): 5.7208 5.7208 4.0794 90.15 90.15 88.80
Atoms (fractional coordinates):
K (0.0000, 0.0000, 0.0000)
Na (0.4984, 0.4984, 0.0043)
Nb (0.0071, 0.5075, 0.4872)
Nb (0.5075, 0.0071, 0.4872)
O (0.2388, 0.2388, 0.5251)
O (0.2427, 0.7365, 0.5154)
O (0.4921, 0.9925, 0.0209)
O (0.7365, 0.2427, 0.5154)
O (0.7360, 0.7360, 0.5262)
O (0.9925, 0.4921, 0.0209)

***

No. 4
Simulated X-ray diffraction stick pattern
Compound: K4NaNb5O15
Radiation: Cu Kα (λ = 1.5418 Å)
Structure: a structure optimized by DFT (PBE)
No peak broadening, texture or thermal motion is included.

Peak list (6 most intense, 2θ from 5° to 70°, by angle)
2θ = 21.5°, d 4.134, rel. 53; 2θ = 21.8°, d 4.080, rel. 51; 2θ = 30.7°, d 2.913, rel. 53; 2θ = 30.9°, d 2.895, rel. 51; 2θ = 31.1°, d 2.879, rel. 100; 2θ = 31.3°, d 2.860, rel. 98

Structure:
Lattice parameters (Å, degrees): 5.7899 4.0115 29.1327 90.00 90.75 90.00
Atoms (fractional coordinates):
K (0.0000, 0.0000, 0.0000)
K (0.9998, 0.0000, 0.1994)
K (0.0014, 0.0000, 0.3995)
K (0.0015, 0.0000, 0.5998)
K (0.0019, 0.0000, 0.8003)
K (0.5113, 0.0000, 0.2992)
K (0.5113, 0.0000, 0.4997)
K (0.5115, 0.0000, 0.7001)
Na (0.5210, 0.0000, 0.0954)
Na (0.5214, 0.0000, 0.8958)
Nb (0.0106, 0.5000, 0.2963)
Nb (0.0112, 0.5000, 0.4969)
Nb (0.0116, 0.5000, 0.6974)
Nb (0.0127, 0.5000, 0.0970)
Nb (0.0137, 0.5000, 0.8981)
Nb (0.5029, 0.5000, 0.1955)
Nb (0.5043, 0.5000, 0.9971)
Nb (0.5053, 0.5000, 0.3967)
Nb (0.5057, 0.5000, 0.5970)
Nb (0.5069, 0.5000, 0.7984)
O (0.0020, 0.0000, 0.1044)
O (0.0028, 0.0000, 0.9051)
O (0.0067, 0.0000, 0.3046)
O (0.0072, 0.0000, 0.5050)
O (0.0074, 0.0000, 0.7054)
O (0.2366, 0.5000, 0.1569)
O (0.2372, 0.5000, 0.9582)
O (0.2462, 0.5000, 0.3561)
O (0.2465, 0.5000, 0.5564)
O (0.2471, 0.5000, 0.7575)
O (0.2612, 0.5000, 0.2560)
O (0.2613, 0.5000, 0.4564)
O (0.2611, 0.5000, 0.6568)
O (0.2744, 0.5000, 0.0589)
O (0.2744, 0.5000, 0.8596)
O (0.5037, 0.0000, 0.0065)
O (0.5039, 0.0000, 0.2038)
O (0.5036, 0.0000, 0.4049)
O (0.5037, 0.0000, 0.6051)
O (0.5035, 0.0000, 0.8077)
O (0.7275, 0.5000, 0.1495)
O (0.7268, 0.5000, 0.9505)
O (0.7385, 0.5000, 0.3522)
O (0.7375, 0.5000, 0.7533)
O (0.7387, 0.5000, 0.5526)
O (0.7690, 0.5000, 0.2513)
O (0.7687, 0.5000, 0.4524)
O (0.7692, 0.5000, 0.6528)
O (0.7742, 0.5000, 0.0510)
O (0.7743, 0.5000, 0.8524)

***

No. 5
Simulated X-ray diffraction stick pattern
Compound: K2Na2Sm4Nb2O13
Radiation: Cu Kα (λ = 1.5418 Å)
Structure: a structure optimized by DFT (PBE)
No peak broadening, texture or thermal motion is included.

Peak list (6 most intense, 2θ from 5° to 70°, by angle)
2θ = 8.1°, d 10.945, rel. 100; 2θ = 25.1°, d 3.547, rel. 39; 2θ = 25.4°, d 3.504, rel. 36; 2θ = 29.9°, d 2.985, rel. 94; 2θ = 30.4°, d 2.943, rel. 88; 2θ = 45.0°, d 2.013, rel. 40

Structure:
Lattice parameters (Å, degrees): 12.5547 12.5547 11.3329 115.69 115.69 26.36
Atoms (fractional coordinates):
K (0.1977, 0.3009, 0.1333)
K (0.3009, 0.1977, 0.6333)
K (0.6991, 0.8023, 0.3667)
K (0.8023, 0.6991, 0.8667)
Na (0.3037, 0.3783, 0.4768)
Na (0.3783, 0.3037, 0.9768)
Na (0.6217, 0.6963, 0.0232)
Na (0.6963, 0.6217, 0.5232)
Sm (0.0168, 0.1089, 0.9502)
Sm (0.1089, 0.0168, 0.4502)
Sm (0.4004, 0.4746, 0.3281)
Sm (0.4746, 0.4004, 0.8281)
Sm (0.5254, 0.5996, 0.1719)
Sm (0.5996, 0.5254, 0.6719)
Sm (0.8911, 0.9832, 0.5498)
Sm (0.9832, 0.8911, 0.0498)
Nb (0.1173, 0.1846, 0.2830)
Nb (0.1846, 0.1173, 0.7830)
Nb (0.8154, 0.8827, 0.2170)
Nb (0.8827, 0.8154, 0.7170)
O (0.0617, 0.6782, 0.3622)
O (0.0918, 0.6396, 0.1229)
O (0.1302, 0.6679, 0.6592)
O (0.1428, 0.5938, 0.8600)
O (0.1721, 0.2991, 0.3766)
O (0.2506, 0.7475, 0.5229)
O (0.2525, 0.7494, 0.9771)
O (0.2582, 0.7418, 0.2500)
O (0.2991, 0.1721, 0.8766)
O (0.3218, 0.9383, 0.1378)
O (0.3321, 0.8698, 0.8408)
O (0.3604, 0.9082, 0.3771)
O (0.4062, 0.8572, 0.6400)
O (0.5938, 0.1428, 0.3600)
O (0.6396, 0.0918, 0.6229)
O (0.6679, 0.1302, 0.1592)
O (0.6782, 0.0617, 0.8622)
O (0.7009, 0.8279, 0.1234)
O (0.7418, 0.2582, 0.7500)
O (0.7475, 0.2506, 0.0229)
O (0.7494, 0.2525, 0.4771)
O (0.8279, 0.7009, 0.6234)
O (0.8572, 0.4062, 0.1400)
O (0.8698, 0.3321, 0.3408)
O (0.9082, 0.3604, 0.8771)
O (0.9383, 0.3218, 0.6378)

***

Copy entry 3 word for word.
Simulated X-ray diffraction stick pattern
Compound: KNaNb2O6
Radiation: Cu Kα (λ = 1.5418 Å)
Structure: a structure optimized by DFT (PBE)
No peak broadening, texture or thermal motion is included.

Peak list (6 most intense, 2θ from 5° to 70°, by angle)
2θ = 21.8°, d 4.083, rel. 65; 2θ = 22.2°, d 4.003, rel. 31; 2θ = 30.9°, d 2.893, rel. 26; 2θ = 31.0°, d 2.882, rel. 25; 2θ = 31.3°, d 2.858, rel. 100; 2θ = 44.4°, d 2.042, rel. 43

Structure:
Lattice parameters (Å, degrees): 5.7208 5.7208 4.0794 90.15 90.15 88.80
Atoms (fractional coordinates):
K (0.0000, 0.0000, 0.0000)
Na (0.4984, 0.4984, 0.0043)
Nb (0.0071, 0.5075, 0.4872)
Nb (0.5075, 0.0071, 0.4872)
O (0.2388, 0.2388, 0.5251)
O (0.2427, 0.7365, 0.5154)
O (0.4921, 0.9925, 0.0209)
O (0.7365, 0.2427, 0.5154)
O (0.7360, 0.7360, 0.5262)
O (0.9925, 0.4921, 0.0209)